Record 1
# Li3BiP2O8
Calculated X-ray diffraction stick pattern, CuKα. Input: a PBE-relaxed structure.

Atomic structure:
```
data_Li3BiP2O8
_space_group_name_H-M_alt 'C 1 2/m 1'
_space_group_IT_number 12
_cell_length_a 8.6889
_cell_length_b 5.7416
_cell_length_c 6.3810
_cell_angle_alpha 90.00
_cell_angle_beta 92.16
_cell_angle_gamma 90.00
loop_
_space_group_symop_operation_xyz
'x,y,z'
'-x,-y,-z'
'-x,y,-z'
'x,-y,z'
'x+1/2,y+1/2,z'
'-x+1/2,-y+1/2,-z'
'-x+1/2,y+1/2,-z'
'x+1/2,-y+1/2,z'
loop_
_atom_site_label
_atom_site_fract_x
_atom_site_fract_y
_atom_site_fract_z
Li1 0.0000 0.0000 0.0000
Li2 0.1593 0.5000 0.7952
Bi1 0.0000 0.0000 0.5000
P1 0.1437 0.5000 0.2552
O1 0.0322 0.2841 0.2334
O2 0.2229 0.5000 0.4816
O3 0.2362 0.0000 0.9130
```

The 10 most intense peaks (2θ = 10–90°), most intense first:
index, 2theta, Rel. int.
1 1 -1, 22.99, 1000
0 0 1, 13.89, 864
1 1 0, 18.53, 494
2 0 1, 25.25, 426
1 1 2, 34.11, 420
3 1 0, 34.71, 386
1 1 -2, 33.44, 353
2 0 0, 20.46, 335
0 2 0, 31.15, 289
0 2 1, 34.26, 273

=====

Record 2
# Li3Si2Bi3O10
Calculated X-ray diffraction stick pattern, CuKα. Input: a PBE-relaxed structure.

Atomic structure:
```
data_Li3Si2Bi3O10
_space_group_name_H-M_alt 'P 1 c 1'
_space_group_IT_number 7
_cell_length_a 5.4551
_cell_length_b 6.9055
_cell_length_c 12.9099
_cell_angle_alpha 90.00
_cell_angle_beta 91.73
_cell_angle_gamma 90.00
loop_
_space_group_symop_operation_xyz
'x,y,z'
'x,-y,z+1/2'
loop_
_atom_site_label
_atom_site_fract_x
_atom_site_fract_y
_atom_site_fract_z
Li1 0.0000 0.0173 0.0000
Li2 0.5062 0.4616 0.7922
Li3 0.9637 0.2308 0.6972
Si1 0.4478 0.2380 0.5760
Si2 0.9752 0.2878 0.2367
Bi1 0.0291 0.4669 0.9462
Bi2 0.4897 0.0080 0.8288
Bi3 0.5333 0.2426 0.0592
O1 0.0980 0.0887 0.2851
O2 0.1254 0.4877 0.2758
O3 0.1615 0.1789 0.5799
O4 0.2418 0.2004 0.9327
O5 0.4633 0.4484 0.5147
O6 0.5880 0.2438 0.6920
O7 0.6069 0.0822 0.5037
O8 0.6901 0.3019 0.2758
O9 0.7255 0.2641 0.9113
O10 0.9645 0.2794 0.1077
```

The 10 most intense peaks (2θ = 10–90°), most intense first:
index, 2theta, Rel. int.
1 1 0, 20.76, 1000
0 1 1, 14.55, 669
0 2 2, 29.34, 628
0 1 4, 30.60, 516
2 0 0, 32.85, 451
1 1 -2, 24.69, 443
0 1 2, 18.82, 416
0 0 2, 13.72, 399
1 2 2, 33.93, 391
1 0 4, 32.68, 389

=====

Record 3
# Li5Si2BiO8
Calculated X-ray diffraction stick pattern, CuKα. Input: a PBE-relaxed structure.

Atomic structure:
```
data_Li5Si2BiO8
_space_group_name_H-M_alt 'C 1 2 1'
_space_group_IT_number 5
_cell_length_a 7.5025
_cell_length_b 7.8620
_cell_length_c 6.4718
_cell_angle_alpha 90.00
_cell_angle_beta 90.94
_cell_angle_gamma 90.00
loop_
_space_group_symop_operation_xyz
'x,y,z'
'-x,y,-z'
'x+1/2,y+1/2,z'
'-x+1/2,y+1/2,-z'
loop_
_atom_site_label
_atom_site_fract_x
_atom_site_fract_y
_atom_site_fract_z
Li1 0.0000 0.0000 0.0000
Li2 0.0000 0.0344 0.5000
Li3 0.0000 0.6494 0.0000
Li4 0.1744 0.3158 0.7797
Si1 0.1711 0.3158 0.2351
Bi1 0.0000 0.6418 0.5000
O1 0.0323 0.4838 0.2184
O2 0.0381 0.1523 0.2465
O3 0.1911 0.8145 0.9565
O4 0.2176 0.8446 0.5356
```

The 10 most intense peaks (2θ = 10–90°), most intense first:
index, 2theta, Rel. int.
1 1 0, 16.33, 1000
1 1 -1, 21.24, 915
0 0 1, 13.68, 739
2 2 0, 33.01, 530
1 1 1, 21.49, 476
1 1 2, 32.38, 402
0 2 1, 26.53, 388
1 1 -2, 32.04, 367
2 2 1, 36.00, 352
2 0 1, 27.69, 279

=====

Record 4
# LiSiBi3O7
Calculated X-ray diffraction stick pattern, CuKα. Input: a PBE-relaxed structure.

Atomic structure:
```
data_LiSiBi3O7
_space_group_name_H-M_alt 'P 63'
_space_group_IT_number 173
_cell_length_a 8.5848
_cell_length_b 8.5848
_cell_length_c 5.2243
_cell_angle_alpha 90.00
_cell_angle_beta 90.00
_cell_angle_gamma 120.00
loop_
_space_group_symop_operation_xyz
'x,y,z'
'x-y,x,z+1/2'
'-y,x-y,z'
'-x,-y,z+1/2'
'-x+y,-x,z'
'y,-x+y,z+1/2'
loop_
_atom_site_label
_atom_site_fract_x
_atom_site_fract_y
_atom_site_fract_z
Li1 0.0000 0.0000 0.0000
Si1 0.3333 0.6667 0.1537
Bi1 0.0879 0.7327 0.6815
O1 0.0827 0.8552 0.3081
O2 0.1308 0.5310 0.0304
O3 0.3333 0.6667 0.4676
```

The 10 most intense peaks (2θ = 10–90°), most intense first:
index, 2theta, Rel. int.
1 1 1, 26.88, 1000
2 0 1, 29.49, 593
1 3 1, 47.40, 373
1 1 0, 20.73, 353
2 1 0, 31.85, 337
3 1 0, 43.91, 280
2 1 2, 47.53, 268
3 1 2, 56.89, 222
0 0 2, 34.33, 208
3 2 1, 56.78, 183

=====

Record 5
# Li3SiBiO5
Calculated X-ray diffraction stick pattern, CuKα. Input: a PBE-relaxed structure.

Atomic structure:
```
data_Li3SiBiO5
_space_group_name_H-M_alt 'P n a 21'
_space_group_IT_number 33
_cell_length_a 5.5199
_cell_length_b 16.5956
_cell_length_c 5.2862
_cell_angle_alpha 90.00
_cell_angle_beta 90.00
_cell_angle_gamma 90.00
loop_
_space_group_symop_operation_xyz
'x,y,z'
'-x,-y,z+1/2'
'-x+1/2,y+1/2,z+1/2'
'x+1/2,-y+1/2,z'
loop_
_atom_site_label
_atom_site_fract_x
_atom_site_fract_y
_atom_site_fract_z
Li1 0.1626 0.0781 0.0000
Li2 0.1747 0.5157 0.0179
Li3 0.2022 0.6935 0.9848
Si1 0.1676 0.9060 0.0079
Bi1 0.1814 0.3172 0.0371
O1 0.0993 0.1079 0.6331
O2 0.1451 0.9303 0.7015
O3 0.1642 0.4725 0.6540
O4 0.1839 0.3156 0.4777
O5 0.2048 0.6888 0.6059
```

The 10 most intense peaks (2θ = 10–90°), most intense first:
index, 2theta, Rel. int.
0 1 1, 17.61, 1000
1 2 0, 19.31, 843
0 2 0, 10.66, 717
1 3 1, 28.40, 629
1 5 1, 35.85, 332
1 4 0, 26.88, 320
0 0 2, 33.92, 298
2 0 0, 32.41, 273
1 4 2, 43.80, 265
1 2 2, 39.32, 242

=====

Record 6
# LiSi2BiO6
Calculated X-ray diffraction stick pattern, CuKα. Input: a PBE-relaxed structure.

Atomic structure:
```
data_LiSi2BiO6
_space_group_name_H-M_alt 'C 1 2/c 1'
_space_group_IT_number 15
_cell_length_a 10.2188
_cell_length_b 9.8912
_cell_length_c 5.5282
_cell_angle_alpha 90.00
_cell_angle_beta 110.07
_cell_angle_gamma 90.00
loop_
_space_group_symop_operation_xyz
'x,y,z'
'-x,-y,-z'
'-x,y,-z+1/2'
'x,-y,z+1/2'
'x+1/2,y+1/2,z'
'-x+1/2,-y+1/2,-z'
'-x+1/2,y+1/2,-z+1/2'
'x+1/2,-y+1/2,z+1/2'
loop_
_atom_site_label
_atom_site_fract_x
_atom_site_fract_y
_atom_site_fract_z
Li1 0.0000 0.2390 0.2500
Si1 0.1965 0.4200 0.7068
Bi1 0.0000 0.1245 0.7500
O1 0.1130 0.2794 0.6068
O2 0.1327 0.0949 0.1890
O3 0.1531 0.4782 0.9519
```

The 10 most intense peaks (2θ = 10–90°), most intense first:
index, 2theta, Rel. int.
1 1 0, 12.85, 1000
2 2 -1, 27.32, 869
1 1 -1, 18.70, 560
0 0 2, 34.59, 538
1 1 1, 23.87, 487
3 1 0, 29.34, 421
2 0 0, 18.49, 347
4 2 -1, 39.99, 345
1 3 0, 28.63, 263
3 3 -1, 38.81, 229